Entry 1:
Computed PXRD pattern
Compound: Ca2InRu
Radiation: copper Kα
Structure: a DFT-relaxed cell (PBE, Alexandria)
Lines closer than 0.1° are merged.

Peak list (8 most intense, 2θ from 10° to 90°, sorted by position)
| Position (°2θ) | I/Imax | (hkl) |
| --- | --- | --- |
| 15.37 | 79 | 0 0 2 |
| 23.44 | 77 | 0 1 1 |
| 30.68 | 78 | 1 1 1 |
| 32.22 | 42 | 0 1 3 |
| 36.91 | 72 | 1 0 4 |
| 37.95 | 100 | 1 1 3 |
| 39.61 | 38 | 2 0 0 |
| 59.66 | 34 | 1 2 4 |

Structural model:
Cell: 4.550 4.018 11.533 Å, 90.00 90.00 90.00°
Space group Amm2 (No. 38)
Asymmetric unit:
Ca: 0.000 0.000 0.000 (multiplicity 2)
Ca: 0.500 0.000 0.297 (multiplicity 2)
In: 0.500 0.000 0.586 (multiplicity 2)
Ru: 0.000 0.000 0.710 (multiplicity 2)



Entry 2:
Computed PXRD pattern
Compound: La4YN4
Radiation: copper Kα
Structure: a DFT-relaxed cell (PBE, Alexandria)
Lines closer than 0.1° are merged.

Peak list (8 most intense, 2θ from 10° to 90°, sorted by position)
| Position (°2θ) | I/Imax | (hkl) |
| --- | --- | --- |
| 29.15 | 34 | 2 0 -3 |
| 29.67 | 35 | 4 0 -1 |
| 29.79 | 71 | 1 1 1 |
| 34.31 | 100 | 3 1 -2 |
| 49.00 | 22 | 1 1 -4 |
| 49.70 | 35 | 0 2 0 |
| 58.74 | 19 | 2 2 -3 |
| 59.01 | 16 | 4 2 -1 |

Structural model:
Cell: 12.274 3.665 9.190 Å, 90.00 120.25 90.00°
Space group C2/m (No. 12)
Asymmetric unit:
La: 0.103 0.000 0.378 (multiplicity 4)
La: 0.207 0.500 0.813 (multiplicity 4)
Y: 0.000 0.500 0.000 (multiplicity 2)
N: 0.099 0.000 0.912 (multiplicity 4)
N: 0.189 0.500 0.291 (multiplicity 4)



Entry 3:
Computed PXRD pattern
Compound: Ba2NaSr3
Radiation: copper Kα
Structure: a DFT-relaxed cell (PBE, Alexandria)
Lines closer than 0.1° are merged.

Peak list (8 most intense, 2θ from 10° to 90°, sorted by position)
| Position (°2θ) | I/Imax | (hkl) |
| --- | --- | --- |
| 26.05 | 21 | 2 0 -1 |
| 26.30 | 100 | 1 1 1 |
| 37.40 | 15 | 2 0 2 |
| 46.07 | 9 | 3 1 0 |
| 46.34 | 9 | 2 2 -1 |
| 46.50 | 22 | 0 2 3 |
| 54.10 | 10 | 2 2 2 |
| 61.28 | 9 | 1 3 1 |

Structural model:
Cell: 6.842 4.780 10.698 Å, 90.00 108.54 90.00°
Space group P2/m (No. 10)
Asymmetric unit:
Ba: 0.157 0.000 0.314 (multiplicity 2)
Na: 0.000 0.500 0.000 (multiplicity 1)
Sr: 0.328 0.500 0.657 (multiplicity 2)
Sr: 0.500 0.000 0.000 (multiplicity 1)



Entry 4:
Computed PXRD pattern
Compound: Ge3Pt2S3
Radiation: copper Kα
Structure: a DFT-relaxed cell (PBE, Alexandria)
Lines closer than 0.1° are merged.

Peak list (8 most intense, 2θ from 10° to 90°, sorted by position)
| Position (°2θ) | I/Imax | (hkl) |
| --- | --- | --- |
| 20.67 | 100 | 2 0 2 |
| 29.31 | 45 | 0 2 4 |
| 29.48 | 46 | 2 2 0 |
| 33.02 | 19 | 4 -1 2 |
| 36.28 | 31 | 0 4 2 |
| 47.18 | 51 | 4 -2 6 |
| 47.42 | 50 | 4 2 2 |
| 52.19 | 31 | 2 4 4 |

Structural model:
Cell: 12.1196 12.1196 14.9733 Å, 90.00 90.00 120.00°
Space group R-3 (No. 148, hexagonal axes)
Asymmetric unit:
Ge: 0.0233 0.8363 0.3382 (multiplicity 18)
Ge: 0.0532 0.4591 0.5988 (multiplicity 18)
Pt: 0.0000 0.0000 0.2532 (multiplicity 6)
Pt: 0.0026 0.5062 0.7497 (multiplicity 18)
S: 0.0264 0.8363 0.8325 (multiplicity 18)
S: 0.0482 0.4512 0.0928 (multiplicity 18)



Entry 5:
Computed PXRD pattern
Compound: Ce2Si3Pd5
Radiation: copper Kα
Structure: a DFT-relaxed cell (PBE, Alexandria)
Lines closer than 0.1° are merged.

Peak list (8 most intense, 2θ from 10° to 90°, sorted by position)
| Position (°2θ) | I/Imax | (hkl) |
| --- | --- | --- |
| 34.69 | 28 | 0 6 2 |
| 35.38 | 100 | 1 3 2 |
| 36.00 | 68 | 1 7 1 |
| 39.83 | 30 | 1 9 0 |
| 40.01 | 21 | 0 10 1 |
| 41.65 | 44 | 2 0 0 |
| 42.64 | 21 | 0 4 3 |
| 69.30 | 17 | 1 13 3 |

Structural model:
Cell: 4.337 23.881 6.805 Å, 90.00 90.00 90.00°
Space group Cmc2_1 (No. 36)
Asymmetric unit:
Ce: 0.000 0.017 0.000 (multiplicity 4)
Ce: 0.000 0.327 0.016 (multiplicity 4)
Si: 0.000 0.105 0.689 (multiplicity 4)
Si: 0.000 0.276 0.571 (multiplicity 4)
Si: 0.000 0.445 0.802 (multiplicity 4)
Pd: 0.000 0.107 0.299 (multiplicity 4)
Pd: 0.000 0.199 0.855 (multiplicity 4)
Pd: 0.000 0.226 0.260 (multiplicity 4)
Pd: 0.000 0.376 0.519 (multiplicity 4)
Pd: 0.000 0.449 0.193 (multiplicity 4)